1.
Theoretical X-ray powder pattern
Compound: Ti6Si2O
Radiation: Cu Kα (weighted mean of Kα1 and Kα2)
Structure: DFT lattice parameters and positions (PBE)
Intensities are scaled so that the largest is 100.

Top 12 peaks for 2θ = 10–90°, by angle:
- 2θ 36.25, d 2.478, I = 100, hkl 0 2 2
- 2θ 36.82, d 2.441, I = 58, hkl 2 1 -2
- 2θ 38.37, d 2.346, I = 82, hkl 1 0 -4
- 2θ 38.78, d 2.322, I = 41, hkl 2 1 -3
- 2θ 39.99, d 2.254, I = 32, hkl 1 2 1
- 2θ 40.39, d 2.233, I = 60, hkl 1 2 -3
- 2θ 40.99, d 2.202, I = 22, hkl 1 1 -4
- 2θ 43.17, d 2.095, I = 39, hkl 2 1 0
- 2θ 43.88, d 2.063, I = 35, hkl 2 1 -4
- 2θ 44.60, d 2.032, I = 34, hkl 0 2 3
- 2θ 45.75, d 1.983, I = 43, hkl 0 0 4
- 2θ 46.20, d 1.965, I = 53, hkl 1 3 -1

```
data_Ti6Si2O
_space_group_name_H-M_alt 'P 1 21/c 1'
_space_group_IT_number 14
_space_group_name_Hall '-P 2ybc'
_cell_length_a 5.2903
_cell_length_b 6.3488
_cell_length_c 9.4527
_cell_angle_alpha 90.00
_cell_angle_beta 122.94
_cell_angle_gamma 90.00
loop_
_atom_site_label
_atom_site_fract_x
_atom_site_fract_y
_atom_site_fract_z
Ti1 0.1214 0.1716 0.4612
Ti2 0.3068 0.6972 0.4563
Ti3 0.3475 0.0174 0.2378
Si1 0.1837 0.1090 0.7537
O1 0.5000 0.0000 0.5000
```

***

2.
Theoretical X-ray powder pattern
Compound: Ti8Si2O
Radiation: Cu Kα (weighted mean of Kα1 and Kα2)
Structure: DFT lattice parameters and positions (PBE)
Intensities are scaled so that the largest is 100.

Top 12 peaks for 2θ = 10–90°, by angle:
- 2θ 35.85, d 2.505, I = 46, hkl 0 0 2
- 2θ 36.05, d 2.491, I = 21, hkl 4 0 1
- 2θ 37.37, d 2.406, I = 45, hkl 5 1 -1
- 2θ 38.30, d 2.350, I = 100, hkl 5 1 0
- 2θ 40.01, d 2.253, I = 28, hkl 1 1 -2
- 2θ 40.32, d 2.237, I = 54, hkl 3 1 -2
- 2θ 41.05, d 2.199, I = 81, hkl 0 2 0
- 2θ 44.77, d 2.024, I = 49, hkl 5 1 -2
- 2θ 47.14, d 1.928, I = 30, hkl 5 1 1
- 2θ 55.62, d 1.653, I = 23, hkl 0 2 2
- 2θ 61.26, d 1.513, I = 15, hkl 5 1 2
- 2θ 78.09, d 1.224, I = 15, hkl 10 2 -1

```
data_Ti8Si2O
_space_group_name_H-M_alt 'C 1 2/m 1'
_space_group_IT_number 12
_space_group_name_Hall '-C 2y'
_cell_length_a 14.7594
_cell_length_b 4.3977
_cell_length_c 5.3184
_cell_angle_alpha 90.00
_cell_angle_beta 109.60
_cell_angle_gamma 90.00
loop_
_atom_site_label
_atom_site_fract_x
_atom_site_fract_y
_atom_site_fract_z
Ti1 0.0085 0.0000 0.2533
Ti2 0.0846 0.5000 0.7300
Ti3 0.1321 0.5000 0.2833
Ti4 0.2209 0.0000 0.1435
Si1 0.1708 0.0000 0.6244
O1 0.0000 0.5000 0.0000
```

***

3.
Theoretical X-ray powder pattern
Compound: Tl6Si2O7
Radiation: Cu Kα (weighted mean of Kα1 and Kα2)
Structure: DFT lattice parameters and positions (PBE)
Intensities are scaled so that the largest is 100.

Top 12 peaks for 2θ = 10–90°, by angle:
- 2θ 17.91, d 4.954, I = 34, hkl 1 1 0
- 2θ 27.50, d 3.243, I = 21, hkl 1 2 0
- 2θ 28.36, d 3.147, I = 100, hkl 1 1 2
- 2θ 30.25, d 2.955, I = 11, hkl 0 2 2
- 2θ 31.27, d 2.860, I = 45, hkl 3 0 0
- 2θ 42.72, d 2.117, I = 25, hkl 4 -2 2
- 2θ 44.47, d 2.037, I = 9, hkl 0 0 4
- 2θ 47.93, d 1.898, I = 10, hkl 0 4 2
- 2θ 51.56, d 1.772, I = 12, hkl 5 -2 2
- 2θ 53.89, d 1.701, I = 16, hkl 4 1 2
- 2θ 55.36, d 1.659, I = 17, hkl 3 0 4
- 2θ 72.12, d 1.310, I = 9, hkl 1 1 6

```
data_Tl6Si2O7
_space_group_name_H-M_alt 'P -3'
_space_group_IT_number 147
_space_group_name_Hall '-P 3'
_cell_length_a 9.9078
_cell_length_b 9.9078
_cell_length_c 8.1497
_cell_angle_alpha 90.00
_cell_angle_beta 90.00
_cell_angle_gamma 120.00
loop_
_atom_site_label
_atom_site_fract_x
_atom_site_fract_y
_atom_site_fract_z
Tl1 0.0340 0.3542 0.3689
Tl2 0.0528 0.3631 0.8799
Si1 0.3333 0.6667 0.1698
Si2 0.3333 0.6667 0.5803
O1 0.1504 0.5534 0.1149
O2 0.1516 0.5485 0.6359
O3 0.3333 0.6667 0.3752
```

***

4.
Theoretical X-ray powder pattern
Compound: TlSi4O8
Radiation: Cu Kα (weighted mean of Kα1 and Kα2)
Structure: DFT lattice parameters and positions (PBE)
Intensities are scaled so that the largest is 100.

Top 12 peaks for 2θ = 10–90°, by angle:
- 2θ 10.88, d 8.135, I = 100, hkl 0 0 1
- 2θ 22.04, d 4.034, I = 50, hkl 1 0 1
- 2θ 29.18, d 3.060, I = 63, hkl 1 0 2
- 2θ 33.41, d 2.682, I = 32, hkl 1 1 0
- 2θ 35.24, d 2.547, I = 40, hkl 1 1 1
- 2θ 38.44, d 2.342, I = 20, hkl 1 0 3
- 2θ 38.77, d 2.323, I = 11, hkl 2 0 0
- 2θ 40.28, d 2.239, I = 11, hkl 1 1 2
- 2θ 51.83, d 1.764, I = 12, hkl 2 0 3
- 2θ 53.38, d 1.716, I = 10, hkl 2 1 1
- 2θ 57.14, d 1.612, I = 19, hkl 2 1 2
- 2θ 67.31, d 1.391, I = 10, hkl 1 1 5

```
data_TlSi4O8
_space_group_name_H-M_alt 'P 6/m m m'
_space_group_IT_number 191
_space_group_name_Hall '-P 6 2'
_cell_length_a 5.3639
_cell_length_b 5.3639
_cell_length_c 8.1347
_cell_angle_alpha 90.00
_cell_angle_beta 90.00
_cell_angle_gamma 120.00
loop_
_atom_site_label
_atom_site_fract_x
_atom_site_fract_y
_atom_site_fract_z
Tl1 0.0000 0.0000 0.0000
Si1 0.3333 0.6667 0.2029
O1 0.0000 0.5000 0.2687
O2 0.3333 0.6667 0.0000
```

***

5.
Theoretical X-ray powder pattern
Compound: Tl6Si2O7
Radiation: Cu Kα (weighted mean of Kα1 and Kα2)
Structure: DFT lattice parameters and positions (PBE)
Intensities are scaled so that the largest is 100.

Top 12 peaks for 2θ = 10–90°, by angle:
- 2θ 10.90, d 8.119, I = 12, hkl 1 0 0
- 2θ 18.93, d 4.687, I = 24, hkl 1 1 0
- 2θ 26.32, d 3.387, I = 100, hkl 1 1 1
- 2θ 28.56, d 3.126, I = 27, hkl 0 2 1
- 2θ 29.10, d 3.069, I = 41, hkl 1 2 0
- 2θ 33.10, d 2.706, I = 19, hkl 3 0 0
- 2θ 36.69, d 2.449, I = 16, hkl 0 0 2
- 2θ 44.27, d 2.046, I = 18, hkl 4 -3 1
- 2θ 47.50, d 1.914, I = 21, hkl 1 2 2
- 2θ 48.55, d 1.875, I = 14, hkl 4 0 1
- 2θ 52.57, d 1.741, I = 17, hkl 2 3 1
- 2θ 60.00, d 1.542, I = 14, hkl 1 1 3

```
data_Tl6Si2O7
_space_group_name_H-M_alt 'P 3'
_space_group_IT_number 143
_space_group_name_Hall 'P 3'
_cell_length_a 9.3745
_cell_length_b 9.3745
_cell_length_c 4.8984
_cell_angle_alpha 90.00
_cell_angle_beta 90.00
_cell_angle_gamma 120.00
loop_
_atom_site_label
_atom_site_fract_x
_atom_site_fract_y
_atom_site_fract_z
Tl1 0.0079 0.6254 0.0000
Tl2 0.2692 0.0263 0.4687
Si1 0.0000 0.0000 0.9507
Si2 0.3333 0.6667 0.5101
O1 0.0000 0.0000 0.6122
O2 0.0903 0.1942 0.0538
O3 0.1880 0.7084 0.5099
```